[1]
PtO: computed powder XRD pattern (Cu Ka), based on a structure optimized by DFT (GGA-PBE).

Largest 6 diffraction maxima, in order of rising 2θ, 5 to 70 degrees two-theta:
Position (°2θ)  d (Å)  Rel. int.
32.92  2.721  100
33.44  2.679  20
40.38  2.233  24
53.40  1.716  30
59.45  1.555  19
68.72  1.366  25

Atomic structure:
Cell lengths 3.159, 3.159, 5.359 Å; angles 90.00, 90.00, 90.00 degrees
Element x y z (fractional)
Pt1 0.000 0.500 0.000
Pt2 0.500 0.000 0.500
O1 0.000 0.000 0.250
O2 0.000 0.000 0.750

[2]
ZrTiFe4: computed powder XRD pattern (Cu Ka), based on a structure optimized by DFT (GGA-PBE).

Largest 6 diffraction maxima, in order of rising 2θ, 5 to 70 degrees two-theta:
Position (°2θ)  d (Å)  Rel. int.
36.59  2.456  35
40.14  2.247  74
43.33  2.088  100
44.08  2.054  84
45.73  1.984  16
68.26  1.374  26

Atomic structure:
Cell lengths 4.912, 4.912, 7.937 Å; angles 90.00, 90.00, 120.00 degrees
Element x y z (fractional)
Zr1 0.333 0.667 0.070
Zr2 0.667 0.333 0.930
Ti1 0.333 0.667 0.448
Ti2 0.667 0.333 0.552
Fe1 0.000 0.000 0.000
Fe2 0.000 0.000 0.500
Fe3 0.169 0.337 0.743
Fe4 0.169 0.831 0.743
Fe5 0.337 0.169 0.257
Fe6 0.663 0.831 0.743
Fe7 0.831 0.169 0.257
Fe8 0.831 0.663 0.257

[3]
AuF3: computed powder XRD pattern (Cu Ka), based on a structure optimized by DFT (GGA-PBE).

Largest 6 diffraction maxima, in order of rising 2θ, 5 to 70 degrees two-theta:
Position (°2θ)  d (Å)  Rel. int.
19.99  4.443  60
22.05  4.031  45
25.13  3.544  100
40.62  2.221  30
43.56  2.078  31
59.94  1.543  28

Atomic structure:
Cell lengths 5.324, 5.324, 16.617 Å; angles 90.00, 90.00, 120.00 degrees
Element x y z (fractional)
Au1 0.241 0.481 0.250
Au2 0.241 0.759 0.917
Au3 0.481 0.241 0.083
Au4 0.519 0.759 0.583
Au5 0.759 0.241 0.417
Au6 0.759 0.519 0.750
F1 0.000 0.167 0.333
F2 0.000 0.833 0.833
F3 0.167 0.000 0.000
F4 0.167 0.167 0.167
F5 0.224 0.536 0.662
F6 0.224 0.688 0.504
F7 0.312 0.536 0.838
F8 0.312 0.776 0.329
F9 0.464 0.688 0.996
F10 0.464 0.776 0.171
F11 0.536 0.224 0.671
F12 0.536 0.312 0.496
F13 0.688 0.224 0.829
F14 0.688 0.464 0.338
F15 0.776 0.312 0.004
F16 0.776 0.464 0.162
F17 0.833 0.000 0.500
F18 0.833 0.833 0.667

[4]
GdFe5: computed powder XRD pattern (Cu Ka), based on a structure optimized by DFT (GGA-PBE).

Largest 6 diffraction maxima, in order of rising 2θ, 5 to 70 degrees two-theta:
Position (°2θ)  d (Å)  Rel. int.
30.53  2.928  54
35.31  2.542  35
41.00  2.202  37
42.37  2.133  100
46.31  1.961  23
68.23  1.375  23

Atomic structure:
Cell lengths 5.084, 5.084, 3.921 Å; angles 90.00, 90.00, 120.00 degrees
Element x y z (fractional)
Gd1 0.000 0.000 0.000
Fe1 0.000 0.500 0.500
Fe2 0.333 0.667 0.000
Fe3 0.500 0.000 0.500
Fe4 0.500 0.500 0.500
Fe5 0.667 0.333 0.000

[5]
Ca2Al2O5: computed powder XRD pattern (Cu Ka), based on a structure optimized by DFT (GGA-PBE).

Largest 6 diffraction maxima, in order of rising 2θ, 5 to 70 degrees two-theta:
Position (°2θ)  d (Å)  Rel. int.
12.21  7.246  33
32.78  2.732  43
33.92  2.643  56
34.20  2.622  100
44.45  2.038  35
47.89  1.900  65

Atomic structure:
Cell lengths 8.183, 8.183, 8.183 Å; angles 55.36, 140.99, 142.32 degrees
Element x y z (fractional)
Ca1 0.026 0.108 0.133
Ca2 0.026 0.392 0.418
Ca3 0.974 0.608 0.582
Ca4 0.974 0.892 0.867
Al1 0.467 0.792 0.175
Al2 0.493 0.493 0.000
Al3 0.493 0.993 0.500
Al4 0.616 0.292 0.825
O1 0.015 0.628 0.887
O2 0.420 0.119 0.584
O3 0.420 0.336 0.801
O4 0.497 0.234 0.242
O5 0.497 0.755 0.763
O6 0.535 0.619 0.199
O7 0.535 0.836 0.416
O8 0.741 0.128 0.113
O9 0.992 0.255 0.758
O10 0.992 0.734 0.237

[6]
P4PtF12: computed powder XRD pattern (Cu Ka), based on a structure optimized by DFT (GGA-PBE).

Largest 6 diffraction maxima, in order of rising 2θ, 5 to 70 degrees two-theta:
Position (°2θ)  d (Å)  Rel. int.
14.85  5.965  100
25.87  3.444  63
29.96  2.982  22
33.60  2.668  18
39.99  2.254  38
45.63  1.988  18

Atomic structure:
Cell lengths 7.305, 7.305, 7.305 Å; angles 109.47, 109.47, 109.47 degrees
Element x y z (fractional)
P1 0.000 0.000 0.309
P2 0.000 0.309 0.000
P3 0.309 0.000 0.000
P4 0.691 0.691 0.691
Pt1 0.000 0.000 0.000
F1 0.000 0.200 0.482
F2 0.000 0.482 0.200
F3 0.200 0.000 0.482
F4 0.200 0.482 0.000
F5 0.282 0.800 0.800
F6 0.482 0.000 0.200
F7 0.482 0.200 0.000
F8 0.518 0.518 0.718
F9 0.518 0.718 0.518
F10 0.718 0.518 0.518
F11 0.800 0.282 0.800
F12 0.800 0.800 0.282

[7]
SrMg14TiO16: computed powder XRD pattern (Cu Ka), based on a structure optimized by DFT (GGA-PBE).

Largest 6 diffraction maxima, in order of rising 2θ, 5 to 70 degrees two-theta:
Position (°2θ)  d (Å)  Rel. int.
35.62  2.521  57
40.99  2.202  100
41.38  2.182  96
41.71  2.165  92
59.65  1.550  56
59.91  1.544  55

Atomic structure:
Cell lengths 4.404, 8.661, 8.728 Å; angles 90.00, 90.00, 90.00 degrees
Element x y z (fractional)
Sr1 0.000 0.000 0.000
Mg1 0.000 0.257 0.254
Mg2 0.000 0.257 0.746
Mg3 0.000 0.500 0.000
Mg4 0.000 0.500 0.500
Mg5 0.000 0.743 0.254
Mg6 0.000 0.743 0.746
Mg7 0.500 0.000 0.257
Mg8 0.500 0.000 0.743
Mg9 0.500 0.253 0.500
Mg10 0.500 0.260 0.000
Mg11 0.500 0.500 0.251
Mg12 0.500 0.500 0.749
Mg13 0.500 0.740 0.000
Mg14 0.500 0.747 0.500
Ti1 0.000 0.000 0.500
O1 0.000 0.000 0.266
O2 0.000 0.000 0.734
O3 0.000 0.256 0.500
O4 0.000 0.272 0.000
O5 0.000 0.500 0.255
O6 0.000 0.500 0.745
O7 0.000 0.728 0.000
O8 0.000 0.744 0.500
O9 0.500 0.000 0.000
O10 0.500 0.000 0.500
O11 0.500 0.250 0.251
O12 0.500 0.250 0.749
O13 0.500 0.500 0.000
O14 0.500 0.500 0.500
O15 0.500 0.750 0.251
O16 0.500 0.750 0.749

[8]
HfW2: computed powder XRD pattern (Cu Ka), based on a structure optimized by DFT (GGA-PBE).

Largest 6 diffraction maxima, in order of rising 2θ, 5 to 70 degrees two-theta:
Position (°2θ)  d (Å)  Rel. int.
37.91  2.374  27
38.96  2.312  100
39.16  2.300  24
55.64  1.652  17
56.90  1.618  8
69.17  1.358  19

Atomic structure:
Cell lengths 7.298, 7.088, 2.873 Å; angles 82.61, 74.41, 22.98 degrees
Element x y z (fractional)
Hf1 0.000 0.000 0.000
W1 0.327 0.327 0.673
W2 0.673 0.673 0.327